1.
Calculated powder diffraction line list
Compound: AlSiTc4
Radiation: Cu Kα
Structure: a DFT-relaxed cell (PBE, Alexandria)
Kinematic intensities with the Lorentz-polarization factor, no thermal factor.

Main lines, sorted by position (2θ from 10° to 90°):
| 2θ (°) | Rel. int. | index |
| --- | --- | --- |
| 21.34 | 87.1 | 1 1 1 |
| 35.20 | 4.3 | 2 2 0 |
| 41.53 | 100.0 | 3 1 1 |
| 43.47 | 81.9 | 2 2 2 |
| 50.63 | 29.1 | 4 0 0 |
| 55.54 | 19.1 | 3 3 1 |
| 67.48 | 30.5 | 5 1 1 |
| 74.41 | 31.1 | 4 4 0 |
| 78.45 | 13.3 | 5 3 1 |
| 89.01 | 11.0 | 5 3 3 |

Structure:
abc: 7.212 7.212 7.212
angles: 90.00 90.00 90.00
Space group F-43m (No. 216)
Unique sites:
Al  0.000  0.000  0.000 (multiplicity 4)
Si  0.250  0.250  0.750 (multiplicity 4)
Tc  0.125  0.125  0.375 (multiplicity 16)



2.
Calculated powder diffraction line list
Compound: AlSiTe4
Radiation: Cu Kα
Structure: a DFT-relaxed cell (PBE, Alexandria)
Kinematic intensities with the Lorentz-polarization factor, no thermal factor.

Main lines, sorted by position (2θ from 10° to 90°):
| 2θ (°) | Rel. int. | index |
| --- | --- | --- |
| 26.52 | 100.0 | 1 1 2 |
| 29.03 | 30.0 | 2 0 0 |
| 33.86 | 10.4 | 0 0 4 |
| 41.52 | 17.4 | 2 2 0 |
| 45.19 | 28.1 | 2 0 4 |
| 49.95 | 32.5 | 3 1 2 |
| 54.61 | 9.9 | 2 2 4 |
| 56.25 | 12.1 | 1 1 6 |
| 72.29 | 10.6 | 3 1 6 |
| 78.33 | 9.7 | 4 2 4 |

Structure:
abc: 6.152 6.152 10.589
angles: 90.00 90.00 90.00
Space group P-42c (No. 112)
Unique sites:
Al  0.000  0.000  0.000 (multiplicity 2)
Si  0.000  0.500  0.250 (multiplicity 2)
Te  0.264  0.265  0.376 (multiplicity 8)



3.
Calculated powder diffraction line list
Compound: Th2Al3Si
Radiation: Cu Kα
Structure: a DFT-relaxed cell (PBE, Alexandria)
Kinematic intensities with the Lorentz-polarization factor, no thermal factor.

Main lines, sorted by position (2θ from 10° to 90°):
| 2θ (°) | Rel. int. | index |
| --- | --- | --- |
| 21.41 | 19.5 | 1 0 0 |
| 23.67 | 64.0 | 0 1 1 |
| 32.13 | 100.0 | 1 1 1 |
| 41.62 | 30.4 | 0 2 0 |
| 47.27 | 16.0 | 1 2 0 |
| 48.44 | 9.9 | 0 2 2 |
| 50.22 | 18.1 | 2 1 1 |
| 53.53 | 24.1 | 1 2 2 |
| 61.89 | 12.8 | 2 1 3 |
| 69.98 | 14.6 | 1 3 1 |

Structure:
abc: 4.150 4.344 7.509
angles: 90.00 90.00 90.00
Space group Pmm2 (No. 25)
Unique sites:
Th  0.000  0.000  0.000 (multiplicity 1)
Th  0.000  0.500  0.488 (multiplicity 1)
Al  0.500  0.000  0.656 (multiplicity 1)
Al  0.500  0.500  0.163 (multiplicity 1)
Al  0.500  0.500  0.826 (multiplicity 1)
Si  0.500  0.000  0.325 (multiplicity 1)



4.
Calculated powder diffraction line list
Compound: Th3Al2Si4
Radiation: Cu Kα
Structure: a DFT-relaxed cell (PBE, Alexandria)
Kinematic intensities with the Lorentz-polarization factor, no thermal factor.

Main lines, sorted by position (2θ from 10° to 90°):
| 2θ (°) | Rel. int. | index |
| --- | --- | --- |
| 21.21 | 20.1 | 2 0 1 |
| 24.48 | 60.6 | 2 0 -2 |
| 32.61 | 100.0 | 1 1 2 |
| 43.08 | 28.8 | 0 2 0 |
| 43.19 | 9.6 | 4 0 2 |
| 48.50 | 15.2 | 2 2 1 |
| 50.27 | 18.6 | 2 0 4 |
| 55.06 | 23.1 | 4 2 -1 |
| 62.65 | 19.3 | 4 2 2 |
| 72.33 | 13.7 | 2 2 -5 |

Structure:
abc: 11.102 4.196 8.395
angles: 90.00 101.07 90.00
Space group C2/m (No. 12)
Unique sites:
Th  0.000  0.000  0.000 (multiplicity 2)
Th  0.164  0.500  0.670 (multiplicity 4)
Al  0.113  0.500  0.277 (multiplicity 4)
Si  0.059  0.000  0.394 (multiplicity 4)
Si  0.223  0.500  0.053 (multiplicity 4)



5.
Calculated powder diffraction line list
Compound: Ti12AlSi6
Radiation: Cu Kα
Structure: a DFT-relaxed cell (PBE, Alexandria)
Kinematic intensities with the Lorentz-polarization factor, no thermal factor.

Main lines, sorted by position (2θ from 10° to 90°):
| 2θ (°) | Rel. int. | index |
| --- | --- | --- |
| 15.19 | 16.6 | 1 1 0 |
| 26.47 | 11.9 | 3 0 0 |
| 36.90 | 40.1 | 1 1 3 |
| 40.94 | 100.0 | 1 4 0 |
| 43.13 | 41.1 | 3 0 3 |
| 45.98 | 24.6 | 2 2 3 |
| 53.84 | 15.2 | 5 -4 3 |
| 67.64 | 12.9 | 7 -5 3 |
| 74.55 | 12.6 | 6 3 0 |
| 84.60 | 15.7 | 1 4 6 |

Structure:
abc: 11.6659 11.6659 8.0438
angles: 90.00 90.00 120.00
Space group R-3 (No. 148, hexagonal axes)
Unique sites:
Ti  0.0477  0.2401  0.4028 (multiplicity 18)
Ti  0.0563  0.2347  0.7606 (multiplicity 18)
Al  0.0000  0.0000  0.5000 (multiplicity 3)
Si  0.0651  0.2373  0.0867 (multiplicity 18)



6.
Calculated powder diffraction line list
Compound: Ti2Al4Si
Radiation: Cu Kα
Structure: a DFT-relaxed cell (PBE, Alexandria)
Kinematic intensities with the Lorentz-polarization factor, no thermal factor.

Main lines, sorted by position (2θ from 10° to 90°):
| 2θ (°) | Rel. int. | index |
| --- | --- | --- |
| 13.71 | 66.1 | 0 0 2 |
| 26.27 | 77.5 | 1 1 0 |
| 37.49 | 100.0 | 2 0 0 |
| 38.49 | 40.2 | 1 1 4 |
| 39.62 | 93.5 | 1 0 5 |
| 40.10 | 15.2 | 2 0 2 |
| 54.06 | 32.6 | 2 2 0 |
| 55.69 | 64.6 | 2 1 5 |
| 69.08 | 16.4 | 3 0 5 |
| 81.34 | 20.3 | 3 2 5 |

Structure:
abc: 4.798 4.798 12.916
angles: 90.00 90.00 90.00
Space group I4/mmm (No. 139)
Unique sites:
Ti  0.000  0.000  0.103 (multiplicity 4)
Al  0.000  0.000  0.314 (multiplicity 4)
Al  0.000  0.500  0.000 (multiplicity 4)
Si  0.000  0.000  0.500 (multiplicity 2)



7.
Calculated powder diffraction line list
Compound: Ti20Al3Si9
Radiation: Cu Kα
Structure: a DFT-relaxed cell (PBE, Alexandria)
Kinematic intensities with the Lorentz-polarization factor, no thermal factor.

Main lines, sorted by position (2θ from 10° to 90°):
| 2θ (°) | Rel. int. | index |
| --- | --- | --- |
| 27.38 | 12.7 | 2 0 2 |
| 34.77 | 13.3 | 0 2 0 |
| 36.49 | 39.9 | 3 0 -1 |
| 37.49 | 24.0 | 0 2 2 |
| 40.59 | 100.0 | 2 1 4 |
| 41.58 | 46.9 | 0 0 6 |
| 42.49 | 78.5 | 1 2 -3 |
| 60.95 | 12.3 | 2 2 -6 |
| 66.28 | 20.9 | 2 3 4 |
| 68.07 | 14.2 | 0 2 8 |

Structure:
abc: 7.520 5.160 13.038
angles: 90.00 90.04 90.00
Space group Pm (No. 6)
Unique sites:
Ti  0.000  0.000  0.000 (multiplicity 1)
Ti  0.003  0.000  0.748 (multiplicity 1)
Ti  0.120  0.500  0.873 (multiplicity 1)
Ti  0.136  0.000  0.372 (multiplicity 1)
Ti  0.252  0.500  0.498 (multiplicity 1)
Ti  0.253  0.500  0.248 (multiplicity 1)
Ti  0.373  0.253  0.704 (multiplicity 2)
Ti  0.380  0.251  0.043 (multiplicity 2)
Ti  0.495  0.000  0.494 (multiplicity 1)
Ti  0.500  0.000  0.247 (multiplicity 1)
Ti  0.620  0.500  0.373 (multiplicity 1)
Ti  0.638  0.000  0.876 (multiplicity 1)
Ti  0.752  0.500  0.999 (multiplicity 1)
Ti  0.754  0.500  0.752 (multiplicity 1)
Ti  0.881  0.251  0.204 (multiplicity 2)
Ti  0.883  0.253  0.540 (multiplicity 2)
Al  0.275  0.000  0.874 (multiplicity 1)
Al  0.679  0.000  0.675 (multiplicity 1)
Al  0.772  0.000  0.372 (multiplicity 1)
Si  0.070  0.500  0.679 (multiplicity 1)
Si  0.075  0.500  0.067 (multiplicity 1)
Si  0.181  0.000  0.568 (multiplicity 1)
Si  0.182  0.000  0.177 (multiplicity 1)
Si  0.482  0.500  0.873 (multiplicity 1)
Si  0.576  0.500  0.179 (multiplicity 1)
Si  0.576  0.500  0.570 (multiplicity 1)
Si  0.682  0.000  0.070 (multiplicity 1)
Si  0.984  0.500  0.372 (multiplicity 1)



8.
Calculated powder diffraction line list
Compound: Ti2Al6Si
Radiation: Cu Kα
Structure: a DFT-relaxed cell (PBE, Alexandria)
Kinematic intensities with the Lorentz-polarization factor, no thermal factor.

Main lines, sorted by position (2θ from 10° to 90°):
| 2θ (°) | Rel. int. | index |
| --- | --- | --- |
| 14.85 | 11.1 | 2 0 0 |
| 38.88 | 100.0 | 3 1 -2 |
| 39.62 | 94.7 | 3 1 1 |
| 42.34 | 39.8 | 6 0 -1 |
| 46.43 | 24.9 | 0 0 3 |
| 48.01 | 27.7 | 0 2 0 |
| 65.91 | 20.2 | 6 2 -1 |
| 69.01 | 14.7 | 0 2 3 |
| 74.63 | 12.5 | 9 1 -3 |
| 76.09 | 12.6 | 9 1 0 |

Structure:
abc: 12.815 3.790 6.304
angles: 90.00 111.45 90.00
Space group C2/m (No. 12)
Unique sites:
Ti  0.052  0.000  0.294 (multiplicity 4)
Al  0.103  0.500  0.653 (multiplicity 4)
Al  0.172  0.000  0.002 (multiplicity 4)
Al  0.223  0.500  0.346 (multiplicity 4)
Si  0.000  0.500  0.000 (multiplicity 2)